Simulated X-ray diffraction stick pattern
Compound: PmTaN3
Radiation: copper Kα
Structure: a cell relaxed with PBE
Intensities are scaled so that the largest is 100.

Principal peaks in the range 2θ = 15–90°, low angle first:
d_spacing	intensity	(hkl)
3.509	14	0 1 1
3.154	25	0 0 2
2.791	100	1 1 1
2.602	22	1 0 2
2.302	21	2 0 0
2.112	19	0 2 0
1.882	18	0 1 3
1.860	14	2 0 2
1.457	13	2 1 3
1.406	13	3 1 1

Atomic structure:
a b c (Å): 4.605 4.223 6.309
angles (deg): 90.00 90.00 90.00
Space group Pmma (No. 51)
Inequivalent atoms, fractional coordinates:
Pm 0.250 0.000 0.178 (multiplicity 2)
Ta 0.250 0.500 0.703 (multiplicity 2)
N 0.000 0.500 0.000 (multiplicity 2)
N 0.250 0.000 0.724 (multiplicity 2)
N 0.250 0.500 0.378 (multiplicity 2)

Simulated X-ray diffraction stick pattern
Compound: PmTaTiN3
Radiation: copper Kα
Structure: a cell relaxed with PBE
Intensities are scaled so that the largest is 100.

Principal peaks in the range 2θ = 15–90°, low angle first:
d_spacing	intensity	(hkl)
3.234	26	2 0 -1
2.938	63	0 1 1
2.922	42	2 0 1
2.785	52	2 0 -2
2.750	42	0 0 3
2.501	82	0 1 2
2.413	44	2 0 2
2.277	100	2 1 0
2.254	41	2 1 -1
1.914	28	2 1 2

Atomic structure:
a b c (Å): 6.676 3.144 8.340
angles (deg): 90.00 98.43 90.00
Space group P2_1/m (No. 11)
Inequivalent atoms, fractional coordinates:
Pm 0.157 0.250 0.195 (multiplicity 2)
Ta 0.349 0.750 0.879 (multiplicity 2)
Ti 0.157 0.250 0.589 (multiplicity 2)
N 0.140 0.250 0.867 (multiplicity 2)
N 0.147 0.750 0.434 (multiplicity 2)
N 0.425 0.750 0.132 (multiplicity 2)